Theoretical powder diffraction line list of Li9Mn2Co5O16 for Cu Kα, 1.54184 Å, from a cell relaxed with PBE+U.
No peak broadening, texture or thermal motion is included.

Peak list (10 most intense, 2θ from 10° to 90°, most intense first)
4.791 Å, I = 100; 2.142 Å, I = 31; 2.028 Å, I = 26; 2.024 Å, I = 26; 2.443 Å, I = 24; 1.473 Å, I = 23; 2.563 Å, I = 17; 2.398 Å, I = 8; 1.469 Å, I = 8; 2.366 Å, I = 7

Structure:
a b c (Å): 5.9018 6.4333 8.1139
angles (deg): 88.95 89.23 65.99
Atoms (fractional coordinates):
Li: 0.0000 0.0000 0.0000
Li: 0.0010 0.9991 0.4923
Li: 0.1193 0.2463 0.2429
Li: 0.2525 0.5027 0.9994
Li: 0.3749 0.7508 0.7481
Li: 0.5010 0.9981 0.4930
Li: 0.6340 0.2487 0.2448
Li: 0.7483 0.5002 0.0005
Li: 0.8761 0.7531 0.7497
Mn: 0.5015 0.9972 0.9980
Mn: 0.6354 0.2479 0.7463
Co: 0.1291 0.2481 0.7475
Co: 0.2522 0.4997 0.4949
Co: 0.3625 0.7570 0.2445
Co: 0.7511 0.5012 0.4956
Co: 0.8750 0.7537 0.2458
O: 0.1321 0.2636 0.5110
O: 0.1553 0.2300 0.9800
O: 0.2580 0.5099 0.2579
O: 0.2760 0.4726 0.7364
O: 0.3687 0.7375 0.4862
O: 0.3825 0.7588 0.0063
O: 0.4819 0.9977 0.2338
O: 0.5176 0.0041 0.7563
O: 0.6176 0.2425 0.9828
O: 0.6322 0.2614 0.5070
O: 0.7424 0.4925 0.7361
O: 0.7564 0.5149 0.2587
O: 0.8429 0.7699 0.0078
O: 0.8717 0.7351 0.4878
O: 0.9761 0.0337 0.7446
O: 0.9938 0.9827 0.2471

Theoretical powder diffraction line list of SrP2WO8 for Cu Kα, 1.54184 Å, from a cell relaxed with PBE+U.
No peak broadening, texture or thermal motion is included.

Peak list (10 most intense, 2θ from 10° to 90°, most intense first)
3.272 Å, I = 100; 3.036 Å, I = 92; 8.440 Å, I = 82; 4.384 Å, I = 75; 5.260 Å, I = 60; 6.507 Å, I = 59; 4.290 Å, I = 49; 4.146 Å, I = 42; 5.512 Å, I = 36; 3.057 Å, I = 36

Structure:
a b c (Å): 5.7562 7.1481 9.3349
angles (deg): 110.90 100.41 98.35
Atoms (fractional coordinates):
Sr: 0.2467 0.2516 0.0212
Sr: 0.7533 0.7484 0.9788
P: 0.1553 0.4620 0.6963
P: 0.3875 0.9466 0.2318
P: 0.6125 0.0534 0.7682
P: 0.8447 0.5380 0.3037
W: 0.3357 0.6556 0.4362
W: 0.6643 0.3444 0.5638
O: 0.0066 0.7507 0.4243
O: 0.0446 0.4041 0.2942
O: 0.1644 0.9457 0.1153
O: 0.2856 0.4843 0.8588
O: 0.3553 0.7330 0.2523
O: 0.3590 0.5239 0.6120
O: 0.3802 0.0139 0.8171
O: 0.4027 0.1141 0.4013
O: 0.5973 0.8859 0.5987
O: 0.6198 0.9861 0.1829
O: 0.6410 0.4761 0.3880
O: 0.6447 0.2670 0.7477
O: 0.7144 0.5157 0.1412
O: 0.8356 0.0543 0.8847
O: 0.9554 0.5959 0.7058
O: 0.9934 0.2493 0.5757